Theoretical powder diffractogram of V4AgO10 for CuKα, from the GGA+U geometry in Alexandria.
No peak broadening, texture or thermal motion is included.

Largest 6 diffraction maxima, low angle first, 10 to 90 degrees two-theta:
2θ (°)  I_rel  index
14.88  60.3  2 0 0
17.96  61.6  2 0 1
27.20  100.0  1 1 1
29.81  76.5  0 0 3
31.54  57.3  4 0 -1
34.74  50.1  3 1 1

Cell and atoms:
Lattice parameters (Å, degrees): 11.911 3.689 8.992 90.00 90.67 90.00
Space group Cm (No. 8)
Inequivalent atoms, fractional coordinates:
V 0.000 0.000 0.000 [2 per cell]
V 0.042 0.500 0.338 [2 per cell]
V 0.207 0.500 0.999 [2 per cell]
V 0.338 0.500 0.333 [2 per cell]
Ag 0.379 0.000 0.691 [2 per cell]
O 0.010 0.000 0.293 [2 per cell]
O 0.036 0.500 0.053 [2 per cell]
O 0.050 0.500 0.517 [2 per cell]
O 0.168 0.000 0.025 [2 per cell]
O 0.190 0.500 0.285 [2 per cell]
O 0.228 0.500 0.820 [2 per cell]
O 0.336 0.500 0.518 [2 per cell]
O 0.345 0.500 0.078 [2 per cell]
O 0.374 0.000 0.308 [2 per cell]
O 0.470 0.500 0.818 [2 per cell]